Entry 1:
The following is a computed powder diffraction line list of LiErCu10. It was derived from the PBE geometry in Alexandria, using Cu Kα X-rays.

Top 10 peaks for 2θ from 10° to 80°, sorted by position:
Position (°2θ), Rel. int.
10.35, 31
30.25, 22
36.40, 22
42.28, 31
42.80, 100
44.33, 33
48.03, 29
62.92, 18
69.91, 21
77.31, 17

Atomic structure:
Unit cell a=4.0868 b=4.9378 c=8.5488 alpha=90.00 beta=90.00 gamma=90.00
Sites, in units of the cell vectors:
Li: 0.0000 0.0000 0.0000
Er: 0.0000 0.5000 0.5000
Cu: 0.0000 0.0000 0.3206
Cu: 0.0000 0.0000 0.6794
Cu: 0.0000 0.5000 0.1587
Cu: 0.0000 0.5000 0.8413
Cu: 0.5000 0.0000 0.5000
Cu: 0.5000 0.2530 0.2508
Cu: 0.5000 0.2530 0.7492
Cu: 0.5000 0.5000 0.0000
Cu: 0.5000 0.7470 0.2508
Cu: 0.5000 0.7470 0.7492

Entry 2:
The following is a computed powder diffraction line list of Ba3ErRu2O9. It was derived from the PBE geometry in Alexandria, using Cu Kα X-rays.

Top 10 peaks for 2θ from 10° to 80°, sorted by position:
Position (°2θ), Rel. int.
25.24, 12
30.09, 100
35.46, 5
39.66, 10
43.07, 23
47.18, 10
53.43, 32
56.97, 8
62.53, 15
70.95, 11

Atomic structure:
Unit cell a=5.9428 b=5.9428 c=14.5363 alpha=90.00 beta=90.00 gamma=120.00
Sites, in units of the cell vectors:
Ba: 0.0000 0.0000 0.2500
Ba: 0.0000 0.0000 0.7500
Ba: 0.3333 0.6667 0.0934
Ba: 0.3333 0.6667 0.4066
Ba: 0.6667 0.3333 0.5934
Ba: 0.6667 0.3333 0.9066
Er: 0.0000 0.0000 0.0000
Er: 0.0000 0.0000 0.5000
Ru: 0.3333 0.6667 0.6640
Ru: 0.3333 0.6667 0.8360
Ru: 0.6667 0.3333 0.1640
Ru: 0.6667 0.3333 0.3360
O: 0.0193 0.5097 0.7500
O: 0.1754 0.3508 0.5873
O: 0.1754 0.3508 0.9127
O: 0.1754 0.8246 0.5873
O: 0.1754 0.8246 0.9127
O: 0.3508 0.1754 0.0873
O: 0.3508 0.1754 0.4127
O: 0.4903 0.5097 0.7500
O: 0.4903 0.9807 0.7500
O: 0.5097 0.0193 0.2500
O: 0.5097 0.4903 0.2500
O: 0.6492 0.8246 0.5873
O: 0.6492 0.8246 0.9127
O: 0.8246 0.1754 0.0873
O: 0.8246 0.1754 0.4127
O: 0.8246 0.6492 0.0873
O: 0.8246 0.6492 0.4127
O: 0.9807 0.4903 0.2500

Entry 3:
The following is a computed powder diffraction line list of Ac2Zn12Pt5. It was derived from the PBE geometry in Alexandria, using Cu Kα X-rays.

Top 10 peaks for 2θ from 10° to 80°, sorted by position:
Position (°2θ), Rel. int.
12.76, 39
27.74, 28
29.17, 27
32.96, 33
38.24, 100
38.94, 55
40.01, 37
40.68, 43
40.98, 25
43.60, 39

Atomic structure:
Unit cell a=6.9964 b=6.9964 c=6.9964 alpha=84.58 beta=84.58 gamma=84.58
Sites, in units of the cell vectors:
Ac: 0.1629 0.1629 0.1629
Ac: 0.8371 0.8371 0.8371
Zn: 0.1577 0.1577 0.6476
Zn: 0.1577 0.6476 0.1577
Zn: 0.2195 0.5000 0.7805
Zn: 0.2195 0.7805 0.5000
Zn: 0.3524 0.8423 0.8423
Zn: 0.5000 0.2195 0.7805
Zn: 0.5000 0.7805 0.2195
Zn: 0.6476 0.1577 0.1577
Zn: 0.7805 0.2195 0.5000
Zn: 0.7805 0.5000 0.2195
Zn: 0.8423 0.3524 0.8423
Zn: 0.8423 0.8423 0.3524
Pt: 0.0000 0.5000 0.5000
Pt: 0.3919 0.3919 0.3919
Pt: 0.5000 0.0000 0.5000
Pt: 0.5000 0.5000 0.0000
Pt: 0.6081 0.6081 0.6081

Entry 4:
The following is a computed powder diffraction line list of Cu3Pt2. It was derived from the PBE geometry in Alexandria, using Cu Kα X-rays.

Top 10 peaks for 2θ from 10° to 80°, sorted by position:
Position (°2θ), Rel. int.
15.00, 21
27.49, 4
31.46, 14
33.93, 9
38.29, 8
41.34, 100
46.80, 18
48.75, 31
69.89, 21
71.42, 9

Atomic structure:
Unit cell a=5.9070 b=5.9070 c=3.8819 alpha=90.00 beta=90.00 gamma=90.00
Sites, in units of the cell vectors:
Cu: 0.0000 0.5000 0.0000
Cu: 0.1020 0.8117 0.5000
Cu: 0.1883 0.1020 0.0000
Cu: 0.5000 0.0000 0.5000
Cu: 0.8117 0.8980 0.0000
Cu: 0.8980 0.1883 0.5000
Pt: 0.2852 0.3948 0.5000
Pt: 0.3948 0.7148 0.0000
Pt: 0.6052 0.2852 0.0000
Pt: 0.7148 0.6052 0.5000

Entry 5:
The following is a computed powder diffraction line list of Ti8Pd2N3. It was derived from the PBE geometry in Alexandria, using Cu Kα X-rays.

Top 10 peaks for 2θ from 10° to 80°, sorted by position:
Position (°2θ), Rel. int.
21.88, 72
25.27, 88
28.53, 99
33.65, 68
35.52, 58
36.15, 55
38.69, 84
39.94, 100
41.57, 62
43.27, 83

Atomic structure:
Unit cell a=6.6973 b=6.6973 c=5.5820 alpha=105.67 beta=105.67 gamma=53.45
Sites, in units of the cell vectors:
Ti: 0.0955 0.0955 0.3866
Ti: 0.1460 0.6628 0.1155
Ti: 0.3372 0.8540 0.8845
Ti: 0.3834 0.3834 0.5043
Ti: 0.6166 0.6166 0.4957
Ti: 0.6628 0.1460 0.1155
Ti: 0.8540 0.3372 0.8845
Ti: 0.9045 0.9045 0.6134
Pd: 0.2673 0.2673 0.8084
Pd: 0.7327 0.7327 0.1916
N: 0.0000 0.0000 0.0000
N: 0.2454 0.7546 0.5000
N: 0.7546 0.2454 0.5000

Entry 6:
The following is a computed powder diffraction line list of Pu6Ru3Au. It was derived from the PBE geometry in Alexandria, using Cu Kα X-rays.

Top 10 peaks for 2θ from 10° to 80°, sorted by position:
Position (°2θ), Rel. int.
32.28, 100
34.23, 9
37.93, 77
40.84, 9
46.68, 9
48.43, 9
50.64, 27
63.11, 22
64.98, 23
68.51, 12

Atomic structure:
Unit cell a=6.0529 b=6.0529 c=6.0529 alpha=85.50 beta=85.50 gamma=85.50
Sites, in units of the cell vectors:
Pu: 0.0000 0.3607 0.6393
Pu: 0.1586 0.8414 0.5000
Pu: 0.3607 0.6393 0.0000
Pu: 0.5000 0.1586 0.8414
Pu: 0.6393 0.0000 0.3607
Pu: 0.8414 0.5000 0.1586
Ru: 0.2507 0.2507 0.2507
Ru: 0.5000 0.5000 0.5000
Ru: 0.7493 0.7493 0.7493
Au: 0.0000 0.0000 0.0000

Entry 7:
The following is a computed powder diffraction line list of AcNdNi4. It was derived from the PBE geometry in Alexandria, using Cu Kα X-rays.

Top 10 peaks for 2θ from 10° to 80°, sorted by position:
Position (°2θ), Rel. int.
25.10, 23
33.52, 100
44.21, 37
44.58, 12
51.52, 4
51.84, 7
56.60, 22
64.59, 23
74.50, 20
75.03, 10

Atomic structure:
Unit cell a=4.0654 b=4.0976 c=7.0957 alpha=90.00 beta=90.00 gamma=90.00
Sites, in units of the cell vectors:
Ac: 0.0000 0.0000 0.0000
Nd: 0.0000 0.5000 0.5000
Ni: 0.5000 0.0000 0.3369
Ni: 0.5000 0.0000 0.6631
Ni: 0.5000 0.5000 0.1716
Ni: 0.5000 0.5000 0.8284

Entry 8:
The following is a computed powder diffraction line list of Sr2Mg5Ga3. It was derived from the PBE geometry in Alexandria, using Cu Kα X-rays.

Top 10 peaks for 2θ from 10° to 80°, sorted by position:
Position (°2θ), Rel. int.
22.35, 18
24.27, 26
31.68, 72
31.80, 100
34.12, 29
34.61, 25
38.43, 41
41.67, 15
52.32, 17
65.35, 23

Atomic structure:
Unit cell a=14.1956 b=14.1956 c=7.6000 alpha=90.00 beta=90.00 gamma=161.00
Sites, in units of the cell vectors:
Sr: 0.0203 0.9797 0.5000
Sr: 0.3236 0.6764 0.4535
Sr: 0.6764 0.3236 0.9535
Sr: 0.9797 0.0203 0.0000
Mg: 0.0981 0.9019 0.1422
Mg: 0.2072 0.7928 0.6498
Mg: 0.2079 0.7921 0.2614
Mg: 0.3722 0.6278 0.9749
Mg: 0.4426 0.5574 0.3297
Mg: 0.5574 0.4426 0.8297
Mg: 0.6278 0.3722 0.4749
Mg: 0.7921 0.2079 0.7614
Mg: 0.7928 0.2072 0.1498
Mg: 0.9019 0.0981 0.6422
Ga: 0.1113 0.8887 0.7614
Ga: 0.2684 0.7316 0.9544
Ga: 0.4529 0.5471 0.7123
Ga: 0.5471 0.4529 0.2123
Ga: 0.7316 0.2684 0.4544
Ga: 0.8887 0.1113 0.2614

Entry 9:
The following is a computed powder diffraction line list of Na5Li4Ge2. It was derived from the PBE geometry in Alexandria, using Cu Kα X-rays.

Top 10 peaks for 2θ from 10° to 80°, sorted by position:
Position (°2θ), Rel. int.
12.69, 100
19.39, 20
20.00, 17
33.54, 27
34.65, 33
35.51, 28
36.00, 16
37.44, 48
37.78, 17
38.25, 15

Atomic structure:
Unit cell a=7.6606 b=7.6606 c=7.6606 alpha=139.18 beta=109.17 gamma=85.12
Sites, in units of the cell vectors:
Na: 0.0000 0.0000 0.0000
Na: 0.0625 0.2344 0.8281
Na: 0.4063 0.2344 0.1719
Na: 0.5937 0.7656 0.8281
Na: 0.9375 0.7656 0.1719
Li: 0.2629 0.5000 0.7629
Li: 0.3704 0.8704 0.5000
Li: 0.6296 0.1296 0.5000
Li: 0.7371 0.5000 0.2371
Ge: 0.1310 0.6310 0.5000
Ge: 0.8690 0.3690 0.5000

Entry 10:
The following is a computed powder diffraction line list of K2CaAlF6. It was derived from the PBE geometry in Alexandria, using Cu Kα X-rays.

Top 10 peaks for 2θ from 10° to 80°, sorted by position:
Position (°2θ), Rel. int.
14.57, 70
16.70, 100
22.23, 27
29.14, 64
33.99, 24
36.95, 92
41.86, 24
45.36, 64
54.82, 21
60.41, 21

Atomic structure:
Unit cell a=6.1298 b=6.1298 c=6.0794 alpha=90.00 beta=90.00 gamma=120.00
Sites, in units of the cell vectors:
K: 0.3333 0.6667 0.3779
K: 0.6667 0.3333 0.6221
Ca: 0.0000 0.0000 0.0000
Al: 0.0000 0.0000 0.5000
F: 0.1374 0.2748 0.6832
F: 0.1374 0.8626 0.6832
F: 0.2748 0.1374 0.3168
F: 0.7252 0.8626 0.6832
F: 0.8626 0.1374 0.3168
F: 0.8626 0.7252 0.3168

Entry 11:
The following is a computed powder diffraction line list of ScCuSi2Rh. It was derived from the PBE geometry in Alexandria, using Cu Kα X-rays.

Top 10 peaks for 2θ from 10° to 80°, sorted by position:
Position (°2θ), Rel. int.
17.54, 46
35.26, 16
35.51, 15
37.27, 100
46.79, 37
48.98, 30
50.34, 12
60.09, 12
64.93, 13
68.32, 11

Atomic structure:
Unit cell a=3.8831 b=3.8831 c=10.1114 alpha=90.00 beta=90.00 gamma=90.00
Sites, in units of the cell vectors:
Sc: 0.0000 0.0000 0.0000
Sc: 0.5000 0.5000 0.5000
Cu: 0.0000 0.5000 0.7500
Cu: 0.5000 0.0000 0.2500
Si: 0.0000 0.0000 0.3867
Si: 0.0000 0.0000 0.6133
Si: 0.5000 0.5000 0.1133
Si: 0.5000 0.5000 0.8867
Rh: 0.0000 0.5000 0.2500
Rh: 0.5000 0.0000 0.7500

Entry 12:
The following is a computed powder diffraction line list of Tb4CuSn3. It was derived from the PBE geometry in Alexandria, using Cu Kα X-rays.

Top 10 peaks for 2θ from 10° to 80°, sorted by position:
Position (°2θ), Rel. int.
30.05, 100
31.26, 24
31.65, 30
37.70, 63
38.02, 16
41.09, 25
41.77, 24
52.78, 15
53.06, 16
60.03, 16

Atomic structure:
Unit cell a=4.3251 b=4.3935 c=11.3092 alpha=90.00 beta=90.00 gamma=90.00
Sites, in units of the cell vectors:
Tb: 0.0000 0.0000 0.0000
Tb: 0.0000 0.5000 0.4792
Tb: 0.5000 0.0000 0.7116
Tb: 0.5000 0.5000 0.2166
Cu: 0.0000 0.0000 0.2740
Sn: 0.0000 0.5000 0.7565
Sn: 0.5000 0.0000 0.4277
Sn: 0.5000 0.5000 0.9422

Entry 13:
The following is a computed powder diffraction line list of Mn6Zn2GeN. It was derived from the PBE geometry in Alexandria, using Cu Kα X-rays.

Top 10 peaks for 2θ from 10° to 80°, sorted by position:
Position (°2θ), Rel. int.
29.46, 9
30.02, 19
36.75, 100
38.83, 11
42.14, 73
43.78, 29
61.12, 22
62.39, 38
73.49, 22
78.17, 19

Atomic structure:
Unit cell a=4.2883 b=4.2883 c=8.2719 alpha=90.00 beta=90.00 gamma=90.00
Sites, in units of the cell vectors:
Mn: 0.0000 0.0000 0.2219
Mn: 0.0000 0.0000 0.7781
Mn: 0.0000 0.5000 0.0000
Mn: 0.0000 0.5000 0.5000
Mn: 0.5000 0.0000 0.0000
Mn: 0.5000 0.0000 0.5000
Zn: 0.5000 0.5000 0.2563
Zn: 0.5000 0.5000 0.7437
Ge: 0.0000 0.0000 0.5000
N: 0.0000 0.0000 0.0000